(1)
# Cs2UCl6
Simulated powder XRD pattern, Cu Kα, 1.54184 Å. Input: a cell relaxed with GGA-PBE.
Neutral-atom scattering factors, no anomalous dispersion.

Structural model:
```
9
Lattice="7.6430 0.0000 0.0000 -3.8215 6.6191 0.0000 0.0000 0.0000 6.3189" Properties=species:S:1:pos:R:3 pbc="T T T"
Cs 0.0000 4.4127 1.6554
Cs 3.8215 2.2064 4.6635
U 0.0000 0.0000 0.0000
Cl 0.0000 2.1834 4.8489
Cl -1.9307 5.5274 4.8489
Cl 1.8909 1.0917 1.4700
Cl 1.9307 5.5274 4.8489
Cl 5.7522 1.0917 1.4700
Cl 3.8215 4.4357 1.4700
```

Main lines, sorted by position (2θ = 15–90°):
d [Å], two_theta, intensity
4.571, 19.42, 100
3.822, 23.28, 66
2.932, 30.49, 89
2.851, 31.37, 38
2.326, 38.71, 35
2.285, 39.43, 42
1.961, 46.29, 28
1.911, 47.59, 28

=====

(2)
# Cs2VCl6
Simulated powder XRD pattern, Cu Kα, 1.54184 Å. Input: a cell relaxed with GGA-PBE.
Neutral-atom scattering factors, no anomalous dispersion.

Structural model:
```
9
Lattice="0.0000 5.2444 5.2444 5.2444 0.0000 5.2444 5.2444 5.2444 0.0000" Properties=species:S:1:pos:R:3 pbc="T T T"
Cs 2.6222 2.6222 2.6222
Cs 7.8666 7.8666 7.8666
V 0.0000 0.0000 0.0000
Cl 5.2444 5.2444 2.3347
Cl 5.2444 2.3347 5.2444
Cl 8.1541 5.2444 5.2444
Cl 2.3347 5.2444 5.2444
Cl 5.2444 8.1541 5.2444
Cl 5.2444 5.2444 8.1541
```

Main lines, sorted by position (2θ = 15–90°):
d [Å], two_theta, intensity
5.244, 16.91, 26
3.708, 24.00, 88
3.028, 29.50, 100
2.622, 34.19, 75
2.141, 42.21, 35
1.854, 49.14, 47
1.581, 58.36, 33
1.402, 66.74, 23

=====

> What is the formula in the second record?

Cs2VCl6